Starting from the GGA-PBE geometry in Alexandria, the powder X-ray diffraction pattern of U4Ga6Tc7 was simulated for Cu Kα.
No peak broadening, texture or thermal motion is included.

Most intense lines, 10° ≤ 2θ ≤ 80°, in order of rising 2θ:
Position (°2θ)  intensity
21.3  167
30.3  445
37.3  1000
43.4  600
63.0  350
75.6  315

Structure:
```
data_U4Ga6Tc7
_cell_length_a 7.224
_cell_length_b 7.224
_cell_length_c 7.224
_cell_angle_alpha 109.47
_cell_angle_beta 109.47
_cell_angle_gamma 109.47
_symmetry_space_group_name_H-M 'P 1'
_symmetry_Int_Tables_number 1
_symmetry_space_group_name_Hall 'P 1'
loop_
_atom_site_label
_atom_site_type_symbol
_atom_site_fract_x
_atom_site_fract_y
_atom_site_fract_z
_atom_site_occupancy
U1 U 0.000 0.000 0.500 1
U2 U 0.000 0.500 0.000 1
U3 U 0.500 0.000 0.000 1
U4 U 0.500 0.500 0.500 1
Ga1 Ga 0.000 0.305 0.305 1
Ga2 Ga 0.000 0.695 0.695 1
Ga3 Ga 0.305 0.000 0.305 1
Ga4 Ga 0.305 0.305 0.000 1
Ga5 Ga 0.695 0.000 0.695 1
Ga6 Ga 0.695 0.695 0.000 1
Tc1 Tc 0.000 0.000 0.000 1
Tc2 Tc 0.250 0.500 0.750 1
Tc3 Tc 0.250 0.750 0.500 1
Tc4 Tc 0.500 0.250 0.750 1
Tc5 Tc 0.500 0.750 0.250 1
Tc6 Tc 0.750 0.250 0.500 1
Tc7 Tc 0.750 0.500 0.250 1
```